Record 1
Starting from a PBE-relaxed structure, the X-ray powder pattern of PrTm3 was computed for a wavelength of 1.5418 Å.

Largest 10 diffraction maxima, sorted by position, 2θ from 15° to 90°:
two_theta  d (Å)  Rel. int.
28.57  3.125  24
31.55  2.836  24
32.72  2.737  100
43.08  2.100  16
50.60  1.804  20
56.93  1.617  21
60.86  1.522  23
61.57  1.506  16
83.64  1.156  14
87.51  1.115  9

Atomic structure:
Unit cell a=7.216 b=7.216 c=5.671 alpha=90.00 beta=90.00 gamma=120.00
Sites, in units of the cell vectors:
Pr (0.333, 0.667, 0.250)
Pr (0.667, 0.333, 0.750)
Tm (0.164, 0.329, 0.750)
Tm (0.164, 0.836, 0.750)
Tm (0.329, 0.164, 0.250)
Tm (0.671, 0.836, 0.750)
Tm (0.836, 0.164, 0.250)
Tm (0.836, 0.671, 0.250)


Record 2
Starting from a PBE-relaxed structure, the X-ray powder pattern of PrTm3 was computed for a wavelength of 1.5418 Å.

Largest 10 diffraction maxima, sorted by position, 2θ from 15° to 90°:
two_theta  d (Å)  Rel. int.
30.86  2.897  100
35.71  2.514  34
35.94  2.499  17
51.39  1.778  12
51.56  1.772  24
61.16  1.515  29
61.46  1.509  14
64.30  1.449  12
83.89  1.153  6
84.16  1.150  12

Atomic structure:
Unit cell a=6.134 b=6.134 c=6.134 alpha=131.60 beta=131.60 gamma=70.86
Sites, in units of the cell vectors:
Pr (0.000, 0.000, 0.000)
Tm (0.250, 0.750, 0.500)
Tm (0.500, 0.500, 0.000)
Tm (0.750, 0.250, 0.500)


Record 3
Starting from a PBE-relaxed structure, the X-ray powder pattern of Pr3Y was computed for a wavelength of 1.5418 Å.

Largest 10 diffraction maxima, sorted by position, 2θ from 15° to 90°:
two_theta  d (Å)  Rel. int.
17.03  5.207  3
24.17  3.682  2
29.72  3.006  100
34.45  2.603  51
49.51  1.841  36
58.82  1.570  43
61.71  1.503  12
72.63  1.302  6
80.39  1.195  17
82.93  1.164  16

Atomic structure:
Unit cell a=5.207 b=5.207 c=5.207 alpha=90.00 beta=90.00 gamma=90.00
Sites, in units of the cell vectors:
Pr (0.000, 0.000, 0.500)
Pr (0.000, 0.500, 0.000)
Pr (0.500, 0.000, 0.000)
Y (0.500, 0.500, 0.500)


Record 4
Starting from a PBE-relaxed structure, the X-ray powder pattern of Pr3Y was computed for a wavelength of 1.5418 Å.

Largest 10 diffraction maxima, sorted by position, 2θ from 15° to 90°:
two_theta  d (Å)  Rel. int.
29.68  3.010  100
34.33  2.612  17
34.44  2.604  34
49.45  1.843  36
58.63  1.574  14
58.79  1.571  29
61.63  1.505  12
80.22  1.197  12
80.36  1.195  6
82.88  1.165  11

Atomic structure:
Unit cell a=6.392 b=6.392 c=6.392 alpha=131.92 beta=131.92 gamma=70.35
Sites, in units of the cell vectors:
Pr (0.000, 0.000, 0.000)
Pr (0.250, 0.750, 0.500)
Pr (0.750, 0.250, 0.500)
Y (0.500, 0.500, 0.000)


Record 5
Starting from a PBE-relaxed structure, the X-ray powder pattern of Pr3Y was computed for a wavelength of 1.5418 Å.

Largest 10 diffraction maxima, sorted by position, 2θ from 15° to 90°:
two_theta  d (Å)  Rel. int.
27.72  3.218  23
29.89  2.989  26
31.58  2.833  100
41.22  2.190  16
49.03  1.858  19
54.13  1.694  22
58.49  1.578  23
59.50  1.554  16
80.61  1.192  13
82.91  1.165  8

Atomic structure:
Unit cell a=7.431 b=7.431 c=5.978 alpha=90.00 beta=90.00 gamma=120.00
Sites, in units of the cell vectors:
Pr (0.167, 0.334, 0.250)
Pr (0.167, 0.833, 0.250)
Pr (0.334, 0.167, 0.750)
Pr (0.666, 0.833, 0.250)
Pr (0.833, 0.167, 0.750)
Pr (0.833, 0.666, 0.750)
Y (0.333, 0.667, 0.750)
Y (0.667, 0.333, 0.250)


Record 6
Starting from a PBE-relaxed structure, the X-ray powder pattern of PrY was computed for a wavelength of 1.5418 Å.

Largest 10 diffraction maxima, sorted by position, 2θ from 15° to 90°:
two_theta  d (Å)  Rel. int.
28.14  3.171  26
30.05  2.974  26
31.99  2.798  100
41.64  2.169  18
49.81  1.831  19
54.59  1.681  22
59.28  1.559  22
60.43  1.532  16
82.03  1.175  13
83.82  1.154  8

Atomic structure:
Unit cell a=3.661 b=3.661 c=5.948 alpha=90.00 beta=90.00 gamma=120.00
Sites, in units of the cell vectors:
Pr (0.000, 0.000, 0.000)
Y (0.333, 0.667, 0.500)


Record 7
Starting from a PBE-relaxed structure, the X-ray powder pattern of PrY3 was computed for a wavelength of 1.5418 Å.

Largest 10 diffraction maxima, sorted by position, 2θ from 15° to 90°:
two_theta  d (Å)  Rel. int.
28.06  3.180  24
30.67  2.915  25
32.06  2.792  100
42.05  2.149  16
49.66  1.836  19
55.41  1.658  21
59.51  1.553  22
60.34  1.534  16
81.83  1.177  13
84.96  1.142  8

Atomic structure:
Unit cell a=7.343 b=7.343 c=5.830 alpha=90.00 beta=90.00 gamma=120.00
Sites, in units of the cell vectors:
Pr (0.333, 0.667, 0.250)
Pr (0.667, 0.333, 0.750)
Y (0.165, 0.331, 0.750)
Y (0.165, 0.835, 0.750)
Y (0.331, 0.165, 0.250)
Y (0.669, 0.835, 0.750)
Y (0.835, 0.165, 0.250)
Y (0.835, 0.669, 0.250)


Record 8
Starting from a PBE-relaxed structure, the X-ray powder pattern of PrY was computed for a wavelength of 1.5418 Å.

Largest 10 diffraction maxima, sorted by position, 2θ from 15° to 90°:
two_theta  d (Å)  Rel. int.
28.28  3.155  47
30.35  2.945  49
31.21  2.865  100
32.86  2.726  91
39.28  2.293  17
49.69  1.835  37
53.39  1.716  20
56.59  1.626  20
59.35  1.557  43
84.34  1.148  15

Atomic structure:
Unit cell a=17.795 b=17.795 c=17.795 alpha=11.84 beta=11.84 gamma=11.84
Sites, in units of the cell vectors:
Pr (0.000, 0.000, 0.000)
Pr (0.111, 0.111, 0.111)
Pr (0.609, 0.609, 0.609)
Y (0.221, 0.221, 0.221)
Y (0.500, 0.500, 0.500)
Y (0.722, 0.722, 0.722)


Record 9
Starting from a PBE-relaxed structure, the X-ray powder pattern of PrY3 was computed for a wavelength of 1.5418 Å.

Largest 10 diffraction maxima, sorted by position, 2θ from 15° to 90°:
two_theta  d (Å)  Rel. int.
30.25  2.954  100
35.03  2.561  34
35.15  2.553  17
50.44  1.809  35
59.90  1.544  28
60.05  1.541  14
62.92  1.477  12
82.01  1.175  6
82.14  1.173  11
84.64  1.145  10

Atomic structure:
Unit cell a=6.261 b=6.261 c=6.261 alpha=131.71 beta=131.71 gamma=70.70
Sites, in units of the cell vectors:
Pr (0.000, 0.000, 0.000)
Y (0.250, 0.750, 0.500)
Y (0.500, 0.500, 0.000)
Y (0.750, 0.250, 0.500)


Record 10
Starting from a PBE-relaxed structure, the X-ray powder pattern of PrYZn2 was computed for a wavelength of 1.5418 Å.

Largest 10 diffraction maxima, sorted by position, 2θ from 15° to 90°:
two_theta  d (Å)  Rel. int.
21.07  4.217  4
24.37  3.652  7
34.74  2.583  100
40.98  2.202  2
42.89  2.109  2
49.94  1.826  18
56.33  1.633  3
62.27  1.491  35
73.31  1.291  11
83.75  1.155  15

Atomic structure:
Unit cell a=5.165 b=5.165 c=5.165 alpha=60.00 beta=60.00 gamma=60.00
Sites, in units of the cell vectors:
Pr (0.000, 0.000, 0.000)
Y (0.500, 0.500, 0.500)
Zn (0.250, 0.250, 0.250)
Zn (0.750, 0.750, 0.750)


Record 11
Starting from a PBE-relaxed structure, the X-ray powder pattern of PrZn2 was computed for a wavelength of 1.5418 Å.

Largest 10 diffraction maxima, sorted by position, 2θ from 15° to 90°:
two_theta  d (Å)  Rel. int.
22.48  3.955  11
32.86  2.726  100
33.65  2.664  30
37.84  2.378  14
38.79  2.321  26
40.77  2.213  34
52.28  1.750  17
55.31  1.661  9
65.06  1.434  18
66.50  1.406  13

Atomic structure:
Unit cell a=5.811 b=5.811 c=5.811 alpha=132.91 beta=99.42 gamma=98.94
Sites, in units of the cell vectors:
Pr (0.291, 0.041, 0.250)
Pr (0.709, 0.959, 0.750)
Zn (0.109, 0.666, 0.443)
Zn (0.277, 0.334, 0.943)
Zn (0.723, 0.666, 0.057)
Zn (0.891, 0.334, 0.557)


Record 12
Starting from a PBE-relaxed structure, the X-ray powder pattern of Pr3Zn11 was computed for a wavelength of 1.5418 Å.

Largest 10 diffraction maxima, sorted by position, 2θ from 15° to 90°:
two_theta  d (Å)  Rel. int.
28.14  3.171  19
33.39  2.684  23
34.59  2.593  100
34.85  2.574  24
35.91  2.501  35
36.07  2.490  24
38.44  2.342  24
39.93  2.258  46
40.49  2.228  22
54.89  1.673  18

Atomic structure:
Unit cell a=8.370 b=8.370 c=8.370 alpha=148.70 beta=114.88 gamma=74.03
Sites, in units of the cell vectors:
Pr (0.000, 0.000, 0.000)
Pr (0.301, 0.301, 0.000)
Pr (0.699, 0.699, 0.000)
Zn (0.021, 0.662, 0.360)
Zn (0.144, 0.863, 0.281)
Zn (0.302, 0.500, 0.802)
Zn (0.302, 0.662, 0.640)
Zn (0.418, 0.137, 0.281)
Zn (0.500, 0.000, 0.500)
Zn (0.582, 0.863, 0.719)
Zn (0.698, 0.338, 0.360)
Zn (0.698, 0.500, 0.198)
Zn (0.856, 0.137, 0.719)
Zn (0.979, 0.338, 0.640)


Record 13
Starting from a PBE-relaxed structure, the X-ray powder pattern of Pr3Zn22 was computed for a wavelength of 1.5418 Å.

Largest 10 diffraction maxima, sorted by position, 2θ from 15° to 90°:
two_theta  d (Å)  Rel. int.
30.71  2.912  24
33.75  2.655  17
36.84  2.440  33
38.47  2.340  93
39.47  2.283  100
40.35  2.235  72
42.20  2.142  34
44.56  2.033  26
57.72  1.597  21
72.78  1.299  23

Atomic structure:
Unit cell a=12.361 b=12.361 c=12.361 alpha=137.60 beta=137.60 gamma=61.52
Sites, in units of the cell vectors:
Pr (0.125, 0.875, 0.250)
Pr (0.256, 0.506, 0.750)
Pr (0.494, 0.744, 0.750)
Pr (0.506, 0.256, 0.250)
Pr (0.744, 0.494, 0.250)
Pr (0.875, 0.125, 0.750)
Zn (0.000, 0.000, 0.000)
Zn (0.000, 0.000, 0.500)
Zn (0.000, 0.500, 0.000)
Zn (0.044, 0.319, 0.241)
Zn (0.044, 0.803, 0.725)
Zn (0.117, 0.219, 0.602)
Zn (0.117, 0.516, 0.898)
Zn (0.137, 0.737, 0.400)
Zn (0.146, 0.624, 0.522)
Zn (0.164, 0.263, 0.900)
Zn (0.197, 0.422, 0.241)
Zn (0.197, 0.956, 0.775)
Zn (0.219, 0.117, 0.102)
Zn (0.263, 0.164, 0.400)
Zn (0.263, 0.863, 0.100)
Zn (0.319, 0.044, 0.741)
Zn (0.319, 0.578, 0.275)
Zn (0.376, 0.399, 0.522)
Zn (0.376, 0.854, 0.978)
Zn (0.399, 0.376, 0.022)
Zn (0.422, 0.197, 0.741)
Zn (0.422, 0.681, 0.225)
Zn (0.484, 0.883, 0.602)
Zn (0.500, 0.000, 0.500)
Zn (0.516, 0.117, 0.398)
Zn (0.578, 0.319, 0.775)
Zn (0.578, 0.803, 0.259)
Zn (0.601, 0.624, 0.978)
Zn (0.624, 0.146, 0.022)
Zn (0.624, 0.601, 0.478)
Zn (0.681, 0.422, 0.725)
Zn (0.681, 0.956, 0.259)
Zn (0.737, 0.137, 0.900)
Zn (0.737, 0.836, 0.600)
Zn (0.781, 0.883, 0.898)
Zn (0.803, 0.044, 0.225)
Zn (0.803, 0.578, 0.759)
Zn (0.836, 0.737, 0.100)
Zn (0.854, 0.376, 0.478)
Zn (0.863, 0.263, 0.600)
Zn (0.883, 0.484, 0.102)
Zn (0.883, 0.781, 0.398)
Zn (0.956, 0.197, 0.275)
Zn (0.956, 0.681, 0.759)